Structure and calculated powder diffraction line list of DyErNiPd (the PBE geometry in Alexandria; a wavelength of 1.5418 Å).
No peak broadening, texture or thermal motion is included.

Structure:
```
DyErNiPd
1.0
4.3590 0.0000 0.0000
0.0000 3.7509 0.0000
0.0000 0.0000 10.3057
Dy Er Ni Pd
2 2 2 2
Cartesian
0.0000 0.0000 0.0000 Dy
0.0000 1.8754 5.1529 Dy
2.1795 0.0000 7.4320 Er
2.1795 1.8754 2.2792 Er
0.0000 0.0000 2.8626 Ni
0.0000 1.8754 8.0155 Ni
2.1795 0.0000 4.5130 Pd
2.1795 1.8754 9.6658 Pd
```

Largest 8 diffraction maxima, by intensity, 15 to 90 degrees two-theta:
32.67°, intensity 100; 41.22°, intensity 52; 35.43°, intensity 32; 41.43°, intensity 29; 34.82°, intensity 27; 26.79°, intensity 23; 40.68°, intensity 18; 48.54°, intensity 18

Structure and calculated powder diffraction line list of Zr3H3Pb (the PBE geometry in Alexandria; a wavelength of 1.5418 Å).
No peak broadening, texture or thermal motion is included.

Structure:
```
Zr3H3Pb
1.0
5.8322 0.0000 0.0000
0.0000 5.8322 0.0000
0.0000 0.0000 5.8322
Zr H Pb
6 6 2
Cartesian
0.0000 1.4581 2.9161 Zr
0.0000 4.3742 2.9161 Zr
1.4581 2.9161 0.0000 Zr
2.9161 0.0000 1.4581 Zr
2.9161 0.0000 4.3742 Zr
4.3742 2.9161 0.0000 Zr
0.0000 2.9161 1.4581 H
0.0000 2.9161 4.3742 H
1.4581 0.0000 2.9161 H
2.9161 1.4581 0.0000 H
2.9161 4.3742 0.0000 H
4.3742 0.0000 2.9161 H
0.0000 0.0000 0.0000 Pb
2.9161 2.9161 2.9161 Pb
```

Largest 8 diffraction maxima, by intensity, 15 to 90 degrees two-theta:
37.78°, intensity 100; 59.28°, intensity 54; 34.38°, intensity 48; 30.66°, intensity 44; 21.55°, intensity 26; 72.48°, intensity 15; 63.84°, intensity 14; 76.63°, intensity 13

Structure and calculated powder diffraction line list of EuGe12Pt4 (the PBE geometry in Alexandria; a wavelength of 1.5418 Å).
No peak broadening, texture or thermal motion is included.

Structure:
```
EuGe12Pt4
1.0
-4.3696 4.3696 4.3696
4.3696 -4.3696 4.3696
4.3696 4.3696 -4.3696
Eu Ge Pt
1 12 4
Cartesian
0.0000 0.0000 0.0000 Eu
3.0947 1.3122 0.0000 Ge
5.6445 1.3122 0.0000 Ge
4.3696 -1.2749 3.0573 Ge
3.0573 4.3696 -1.2749 Ge
1.3122 0.0000 3.0947 Ge
4.3696 1.2749 3.0573 Ge
0.0000 3.0947 1.3122 Ge
3.0573 4.3696 1.2749 Ge
1.3122 0.0000 5.6445 Ge
0.0000 5.6445 1.3122 Ge
-1.2749 3.0573 4.3696 Ge
1.2749 3.0573 4.3696 Ge
2.1848 2.1848 -2.1848 Pt
2.1848 -2.1848 2.1848 Pt
-2.1848 2.1848 2.1848 Pt
2.1848 2.1848 2.1848 Pt
```

Largest 8 diffraction maxima, by intensity, 15 to 90 degrees two-theta:
28.90°, intensity 100; 51.21°, intensity 83; 32.40°, intensity 81; 46.47°, intensity 72; 20.32°, intensity 46; 38.55°, intensity 38; 53.46°, intensity 35; 67.82°, intensity 30

Structure and calculated powder diffraction line list of Dy3Tm3CuRu2 (the PBE geometry in Alexandria; a wavelength of 1.5418 Å).
No peak broadening, texture or thermal motion is included.

Structure:
```
Dy3Tm3CuRu2
1.0
7.1992 0.0000 0.0000
-3.5996 6.2347 0.0000
0.0000 0.0000 4.7640
Dy Tm Cu Ru
3 3 1 2
Cartesian
-2.6353 4.5645 0.0000 Dy
0.9643 1.6702 0.0000 Dy
5.2707 0.0000 0.0000 Dy
-1.4939 2.5875 2.3820 Tm
2.9878 0.0000 2.3820 Tm
2.1057 3.6471 2.3820 Tm
0.0000 0.0000 2.3820 Cu
0.0000 4.1565 0.0000 Ru
3.5996 2.0782 0.0000 Ru
```

Largest 8 diffraction maxima, by intensity, 15 to 90 degrees two-theta:
31.14°, intensity 100; 34.38°, intensity 70; 38.19°, intensity 37; 37.77°, intensity 33; 54.80°, intensity 26; 43.55°, intensity 22; 68.49°, intensity 22; 58.98°, intensity 18